Ho2HgC2: calculated powder X-ray diffraction pattern (Cu Kα (λ = 1.5418 Å)), based on the PBE geometry in Alexandria.
Neutral-atom scattering factors, no anomalous dispersion.

The 6 most intense peaks (15° ≤ 2θ ≤ 90°), in order of falling intensity:
2θ = 29.9°, I = 100; 2θ = 34.5°, I = 72; 2θ = 30.5°, I = 59; 2θ = 37.9°, I = 57; 2θ = 35.4°, I = 57; 2θ = 30.2°, I = 56

Structural model:
abc: 7.820 7.820 6.806
angles: 109.43 109.43 28.41
Element x y z (fractional)
Ho 0.000 0.307 0.121
Ho 0.000 0.693 0.879
Ho 0.307 0.000 0.621
Ho 0.693 0.000 0.379
Hg 0.469 0.531 0.250
Hg 0.531 0.469 0.750
C 0.152 0.400 0.476
C 0.400 0.152 0.976
C 0.600 0.848 0.024
C 0.848 0.600 0.524

Ho4HgC2: calculated powder X-ray diffraction pattern (Cu Kα (λ = 1.5418 Å)), based on the PBE geometry in Alexandria.
Neutral-atom scattering factors, no anomalous dispersion.

The 6 most intense peaks (15° ≤ 2θ ≤ 90°), in order of falling intensity:
2θ = 32.5°, I = 100; 2θ = 33.5°, I = 73; 2θ = 51.1°, I = 41; 2θ = 28.9°, I = 35; 2θ = 31.8°, I = 30; 2θ = 61.4°, I = 28

Structural model:
abc: 14.235 14.235 14.235
angles: 14.43 14.43 14.43
Element x y z (fractional)
Ho 0.124 0.124 0.124
Ho 0.273 0.273 0.273
Ho 0.727 0.727 0.727
Ho 0.876 0.876 0.876
Hg 0.000 0.000 0.000
C 0.427 0.427 0.427
C 0.573 0.573 0.573

PrHo2HgC: calculated powder X-ray diffraction pattern (Cu Kα (λ = 1.5418 Å)), based on the PBE geometry in Alexandria.
Neutral-atom scattering factors, no anomalous dispersion.

The 6 most intense peaks (15° ≤ 2θ ≤ 90°), in order of falling intensity:
2θ = 31.3°, I = 100; 2θ = 37.2°, I = 28; 2θ = 34.4°, I = 27; 2θ = 30.5°, I = 25; 2θ = 51.6°, I = 22; 2θ = 59.7°, I = 16

Structural model:
abc: 7.109 7.109 7.109
angles: 122.52 122.52 85.69
Element x y z (fractional)
Pr 0.250 0.250 0.000
Pr 0.750 0.750 0.000
Ho 0.193 0.693 0.887
Ho 0.307 0.193 0.500
Ho 0.693 0.807 0.500
Ho 0.807 0.307 0.113
Hg 0.250 0.750 0.500
Hg 0.750 0.250 0.500
C 0.000 0.000 0.000
C 0.500 0.500 0.000

Th6HgIr2C3: calculated powder X-ray diffraction pattern (Cu Kα (λ = 1.5418 Å)), based on the PBE geometry in Alexandria.
Neutral-atom scattering factors, no anomalous dispersion.

The 6 most intense peaks (15° ≤ 2θ ≤ 90°), in order of falling intensity:
2θ = 32.1°, I = 100; 2θ = 31.5°, I = 44; 2θ = 33.6°, I = 33; 2θ = 48.5°, I = 29; 2θ = 42.5°, I = 26; 2θ = 47.2°, I = 20

Structural model:
abc: 9.454 9.454 8.235
angles: 112.55 112.55 23.48
Element x y z (fractional)
Th 0.026 0.026 0.219
Th 0.320 0.320 0.442
Th 0.333 0.333 0.933
Th 0.667 0.667 0.067
Th 0.680 0.680 0.558
Th 0.974 0.974 0.781
Hg 0.500 0.500 0.500
Ir 0.151 0.151 0.789
Ir 0.849 0.849 0.211
C 0.173 0.173 0.315
C 0.500 0.500 0.000
C 0.827 0.827 0.685

K2Hg3C8N8O8: calculated powder X-ray diffraction pattern (Cu Kα (λ = 1.5418 Å)), based on the PBE geometry in Alexandria.
Neutral-atom scattering factors, no anomalous dispersion.

The 6 most intense peaks (15° ≤ 2θ ≤ 90°), in order of falling intensity:
2θ = 18.1°, I = 100; 2θ = 25.9°, I = 62; 2θ = 27.6°, I = 61; 2θ = 25.0°, I = 46; 2θ = 23.7°, I = 44; 2θ = 23.3°, I = 37

Structural model:
abc: 4.121 10.754 11.251
angles: 91.45 94.32 94.49
Element x y z (fractional)
K 0.228 0.486 0.282
K 0.772 0.514 0.718
Hg 0.000 0.000 0.500
Hg 0.298 0.882 0.115
Hg 0.702 0.118 0.885
C 0.203 0.237 0.703
C 0.231 0.149 0.174
C 0.279 0.755 0.555
C 0.291 0.637 0.985
C 0.709 0.363 0.015
C 0.721 0.245 0.445
C 0.769 0.851 0.826
C 0.797 0.763 0.297
N 0.178 0.132 0.738
N 0.253 0.688 0.079
N 0.313 0.864 0.533
N 0.321 0.075 0.103
N 0.679 0.925 0.897
N 0.687 0.136 0.467
N 0.747 0.312 0.921
N 0.822 0.868 0.262
O 0.147 0.228 0.239
O 0.228 0.343 0.667
O 0.275 0.646 0.578
O 0.321 0.578 0.895
O 0.679 0.422 0.105
O 0.725 0.354 0.422
O 0.772 0.657 0.333
O 0.853 0.772 0.761

La3HgC: calculated powder X-ray diffraction pattern (Cu Kα (λ = 1.5418 Å)), based on the PBE geometry in Alexandria.
Neutral-atom scattering factors, no anomalous dispersion.

The 6 most intense peaks (15° ≤ 2θ ≤ 90°), in order of falling intensity:
2θ = 30.5°, I = 100; 2θ = 29.9°, I = 76; 2θ = 31.1°, I = 61; 2θ = 32.6°, I = 55; 2θ = 57.2°, I = 47; 2θ = 34.0°, I = 40

Structural model:
abc: 9.103 3.826 15.855
angles: 90.00 90.00 90.00
Element x y z (fractional)
La 0.030 0.250 0.097
La 0.174 0.250 0.499
La 0.217 0.750 0.304
La 0.283 0.250 0.804
La 0.326 0.750 0.999
La 0.470 0.750 0.597
La 0.530 0.250 0.403
La 0.674 0.250 0.001
La 0.717 0.750 0.196
La 0.783 0.250 0.696
La 0.826 0.750 0.501
La 0.970 0.750 0.903
Hg 0.086 0.750 0.671
Hg 0.414 0.250 0.171
Hg 0.586 0.750 0.829
Hg 0.914 0.250 0.329
C 0.153 0.250 0.946
C 0.347 0.750 0.446
C 0.653 0.250 0.554
C 0.847 0.750 0.054

La6Hg3C: calculated powder X-ray diffraction pattern (Cu Kα (λ = 1.5418 Å)), based on the PBE geometry in Alexandria.
Neutral-atom scattering factors, no anomalous dispersion.

The 6 most intense peaks (15° ≤ 2θ ≤ 90°), in order of falling intensity:
2θ = 30.1°, I = 100; 2θ = 26.3°, I = 52; 2θ = 34.9°, I = 44; 2θ = 30.4°, I = 44; 2θ = 34.1°, I = 42; 2θ = 27.4°, I = 42

Structural model:
abc: 6.818 8.555 12.257
angles: 90.00 119.37 90.00
Element x y z (fractional)
La 0.079 0.052 0.223
La 0.079 0.448 0.723
La 0.178 0.722 0.063
La 0.178 0.778 0.563
La 0.376 0.146 0.052
La 0.376 0.354 0.552
La 0.624 0.646 0.448
La 0.624 0.854 0.948
La 0.822 0.222 0.437
La 0.822 0.278 0.937
La 0.921 0.552 0.277
La 0.921 0.948 0.777
Hg 0.319 0.109 0.736
Hg 0.319 0.391 0.236
Hg 0.500 0.000 0.500
Hg 0.500 0.500 0.000
Hg 0.681 0.609 0.764
Hg 0.681 0.891 0.264
C 0.000 0.000 0.000
C 0.000 0.500 0.500